# Ba2TeO5
Calculated X-ray powder pattern, Cu Ka. Input: a crystal structure in Alexandria, relaxed with PBE.
Lines closer than 0.1° are merged.

Atomic structure:
Lattice parameters (Å, degrees): 6.217 6.217 6.802 119.32 119.32 50.52
Element x y z (fractional)
1 Ba 0.221 0.221 0.242
2 Ba 0.779 0.779 0.758
3 Te 0.026 0.974 0.500
4 O 0.202 0.203 0.628
5 O 0.380 0.620 0.500
6 O 0.797 0.798 0.372
7 O 0.874 0.058 0.209
8 O 0.942 0.126 0.791

The 6 most intense peaks (10 to 90 degrees two-theta), low angle first:
| Position (°2θ) | I (rel.) |
| --- | --- |
| 19.2 | 86.3 |
| 26.3 | 73.8 |
| 27.8 | 100.0 |
| 29.2 | 78.3 |
| 33.8 | 48.5 |
| 43.3 | 38.2 |